Theoretical powder diffraction line list
Compound: CrCuAsO6
Radiation: Cu Kα
Structure: a DFT-relaxed cell (PBE+U, Alexandria)
No peak broadening, texture or thermal motion is included.

Cell and atoms:
```
data_CrCuAsO6
_space_group_name_H-M_alt 'P 42 n m'
_space_group_IT_number 102
_space_group_name_Hall 'P 4n -2n'
_cell_length_a 4.4892
_cell_length_b 4.4892
_cell_length_c 8.8554
_cell_angle_alpha 90.00
_cell_angle_beta 90.00
_cell_angle_gamma 90.00
loop_
_atom_site_label
_atom_site_fract_x
_atom_site_fract_y
_atom_site_fract_z
Cr1 0.0000 0.0000 0.0000
Cu1 0.0000 0.0000 0.6693
As1 0.0000 0.0000 0.3355
O1 0.1861 0.1861 0.1745
O2 0.1941 0.1941 0.4942
O3 0.2042 0.2042 0.8394
```

Peak list (12 most intense, 2θ = 15–90°, by angle)
- 2θ 28.1, I = 100, (1 1 0)
- 2θ 36.4, I = 61, (1 0 3)
- 2θ 40.2, I = 13, (2 0 0)
- 2θ 41.8, I = 10, (1 1 3)
- 2θ 55.3, I = 60, (2 1 3)
- 2θ 58.1, I = 16, (2 2 0)
- 2θ 63.0, I = 8, (0 0 6)
- 2θ 65.8, I = 11, (3 1 0)
- 2θ 70.3, I = 12, (1 1 6)
- 2θ 70.6, I = 20, (3 0 3)
- 2θ 77.4, I = 5, (2 0 6)
- 2θ 84.4, I = 8, (3 2 3)